1.
Diffraction record for V3CrW3. The powder XRD pattern is computed, not measured: it uses a cell relaxed with GGA-PBE and Cu Kα (λ = 1.5418 Å).
Neutral-atom scattering factors, no anomalous dispersion.

Structural model:
a = 5.097 Å, b = 6.643 Å, c = 6.686 Å
α = 98.79°, β = 102.57°, γ = 109.89°
Space group P-1 (No. 2)
Inequivalent atoms, fractional coordinates:
V 0.063 0.462 0.315
V 0.216 0.394 0.968
V 0.358 0.820 0.102
Cr 0.500 0.251 0.246
W 0.071 0.963 0.824
W 0.215 0.887 0.464
W 0.364 0.331 0.611

The 6 most intense peaks (10° ≤ 2θ ≤ 90°), by angle:
(0 0 1), 2θ = 14.00°, I = 32; (2 0 -2), 2θ = 41.39°, I = 52; (-1 2 2), 2θ = 41.64°, I = 100; (2 -1 1), 2θ = 41.75°, I = 97; (1 -3 1), 2θ = 41.97°, I = 48; (-3 3 1), 2θ = 60.43°, I = 47



2.
Diffraction record for V2Cr6W. The powder XRD pattern is computed, not measured: it uses a cell relaxed with GGA-PBE and Cu Kα (λ = 1.5418 Å).
Neutral-atom scattering factors, no anomalous dispersion.

Structural model:
a = 7.1529 Å, b = 7.1529 Å, c = 7.6134 Å
α = 90.00°, β = 90.00°, γ = 120.00°
Space group R-3 (No. 148, hexagonal axes)
Inequivalent atoms, fractional coordinates:
V 0.0000 0.0000 0.1642
Cr 0.0011 0.6646 0.6129
W 0.0000 0.0000 0.5000

The 6 most intense peaks (10° ≤ 2θ ≤ 90°), by angle:
(1 0 1), 2θ = 18.47°, I = 37; (1 1 0), 2θ = 24.90°, I = 17; (1 1 3), 2θ = 43.74°, I = 100; (3 0 0), 2θ = 43.85°, I = 95; (4 -2 3), 2θ = 63.66°, I = 30; (4 1 3), 2θ = 80.53°, I = 44



3.
Diffraction record for VCr8W2. The powder XRD pattern is computed, not measured: it uses a cell relaxed with GGA-PBE and Cu Kα (λ = 1.5418 Å).
Neutral-atom scattering factors, no anomalous dispersion.

Structural model:
a = 2.916 Å, b = 6.426 Å, c = 8.045 Å
α = 75.09°, β = 87.39°, γ = 87.68°
Space group P1 (No. 1)
Inequivalent atoms, fractional coordinates:
V 0.000 0.000 0.000
Cr 0.243 0.336 0.543
Cr 0.249 0.667 0.213
Cr 0.289 0.979 0.367
Cr 0.295 0.338 0.025
Cr 0.703 0.662 0.976
Cr 0.708 0.021 0.635
Cr 0.749 0.333 0.788
Cr 0.755 0.664 0.458
W 0.228 0.689 0.714
W 0.770 0.311 0.287

The 6 most intense peaks (10° ≤ 2θ ≤ 90°), by angle:
(0 1 1), 2θ = 15.83°, I = 52; (1 -1 2), 2θ = 43.22°, I = 63; (1 2 2), 2θ = 43.65°, I = 60; (0 3 0), 2θ = 43.79°, I = 100; (0 1 4), 2θ = 45.21°, I = 44; (-1 2 2), 2θ = 46.16°, I = 33



4.
Diffraction record for V6Cr12W. The powder XRD pattern is computed, not measured: it uses a cell relaxed with GGA-PBE and Cu Kα (λ = 1.5418 Å).
Neutral-atom scattering factors, no anomalous dispersion.

Structural model:
a = 9.907 Å, b = 7.716 Å, c = 6.621 Å
α = 90.00°, β = 90.93°, γ = 90.00°
Space group C2/m (No. 12)
Inequivalent atoms, fractional coordinates:
V 0.116 0.172 0.082
V 0.222 0.500 0.203
Cr 0.000 0.337 0.500
Cr 0.042 0.000 0.695
Cr 0.145 0.315 0.788
Cr 0.188 0.144 0.446
W 0.000 0.500 0.000

The 6 most intense peaks (10° ≤ 2θ ≤ 90°), by angle:
(1 3 -1), 2θ = 38.59°, I = 100; (3 1 2), 2θ = 40.62°, I = 78; (4 2 0), 2θ = 43.43°, I = 32; (2 0 -3), 2θ = 44.68°, I = 39; (4 2 1), 2θ = 45.83°, I = 33; (5 1 -1), 2θ = 49.23°, I = 40